Structure and theoretical powder diffractogram of Nd2Sc2Sn2C (a structure optimized by DFT (GGA-PBE); Cu Ka).

Main lines, in order of rising 2θ (10° ≤ 2θ ≤ 80°):
- 2θ = 21.8°, I 33.8, hkl 0 0 4
- 2θ = 27.4°, I 77.5, hkl 1 1 0
- 2θ = 29.6°, I 30.5, hkl 1 1 2
- 2θ = 33.0°, I 22.4, hkl 0 0 6
- 2θ = 33.7°, I 24.5, hkl 1 0 5
- 2θ = 35.3°, I 100.0, hkl 1 1 4
- 2θ = 39.2°, I 58.8, hkl 2 0 0
- 2θ = 45.3°, I 21.5, hkl 2 0 4
- 2θ = 52.1°, I 23.8, hkl 2 0 6
- 2θ = 68.5°, I 29.2, hkl 3 1 4

Structural model:
Lattice parameters (Å, degrees): 4.596 4.596 16.296 90.00 90.00 90.00
Space group I4/mmm (No. 139)
Asymmetric unit:
Nd 0.000 0.000 0.160 x4
Sc 0.000 0.500 0.000 x4
Sn 0.000 0.000 0.369 x4
C 0.000 0.000 0.000 x2